1.
Diffraction record for Mo2SBr2. The powder diffraction line list is calculated, not measured: it uses a PBE-relaxed structure and Cu Kα.
Intensities are scaled so that the largest is 100.

Principal peaks in the range 10 to 90 degrees two-theta, most intense first:
2theta  I (rel.)
14.0  100
46.7  67
43.0  62
29.6  46
14.7  40
39.6  38
17.5  31
26.3  27
47.6  24
26.6  24

Cell and atoms:
```
Mo2SBr2
1.0
9.2965 -3.3554 0.0000
9.2965 3.3554 0.0000
0.0000 0.0000 12.0659
Mo S Br
12 6 12
direct
0.2443 0.7557 0.5615 Mo
0.2443 0.7557 0.9385 Mo
0.3443 0.5123 0.1018 Mo
0.3443 0.5123 0.3982 Mo
0.4877 0.6557 0.1018 Mo
0.4877 0.6557 0.3982 Mo
0.5123 0.3443 0.6018 Mo
0.5123 0.3443 0.8982 Mo
0.6557 0.4877 0.6018 Mo
0.6557 0.4877 0.8982 Mo
0.7557 0.2443 0.0615 Mo
0.7557 0.2443 0.4385 Mo
0.1191 0.8809 0.1281 S
0.1191 0.8809 0.3719 S
0.4116 0.5884 0.7500 S
0.5884 0.4116 0.2500 S
0.8809 0.1191 0.6281 S
0.8809 0.1191 0.8719 S
0.1049 0.6108 0.5635 Br
0.1049 0.6108 0.9365 Br
0.1311 0.5259 0.2500 Br
0.3892 0.8951 0.5635 Br
0.3892 0.8951 0.9365 Br
0.4741 0.8689 0.2500 Br
0.5259 0.1311 0.7500 Br
0.6108 0.1049 0.0635 Br
0.6108 0.1049 0.4365 Br
0.8689 0.4741 0.7500 Br
0.8951 0.3892 0.0635 Br
0.8951 0.3892 0.4365 Br
```


2.
Diffraction record for U4TeSe7. The powder diffraction line list is calculated, not measured: it uses a PBE-relaxed structure and Cu Kα.
Intensities are scaled so that the largest is 100.

Principal peaks in the range 10 to 90 degrees two-theta, most intense first:
2theta  I (rel.)
33.3  100
23.4  96
33.4  76
26.2  62
43.4  57
36.5  52
22.6  51
38.3  50
22.7  48
38.5  42

Cell and atoms:
```
U4TeSe7
1.0
7.6135 0.0000 0.0000
0.0000 4.1706 0.0000
-0.0695 0.0000 9.1562
U Te Se
4 1 7
direct
0.0000 0.0000 0.0000 U
0.0112 0.5000 0.4822 U
0.4694 0.0000 0.7566 U
0.5025 0.5000 0.2521 U
0.7827 0.5000 0.7850 Te
0.1001 0.0000 0.6897 Se
0.2185 0.0000 0.2869 Se
0.2777 0.5000 0.9576 Se
0.3911 0.5000 0.5516 Se
0.6064 0.0000 0.0539 Se
0.7188 0.0000 0.4582 Se
0.8850 0.5000 0.1893 Se
```


3.
Diffraction record for Na2MgNb2O6. The powder diffraction line list is calculated, not measured: it uses a PBE-relaxed structure and Cu Kα.
Intensities are scaled so that the largest is 100.

Principal peaks in the range 10 to 90 degrees two-theta, most intense first:
2theta  I (rel.)
16.5  100
33.4  60
20.1  57
19.6  51
32.5  50
33.8  44
20.7  43
31.9  43
22.2  41
34.2  32

Cell and atoms:
```
Na2MgNb2O6
1.0
5.3149 0.0000 0.0000
-2.5323 4.7686 0.0000
-0.2279 -2.6195 5.3660
Na Mg Nb O
2 1 2 6
direct
0.0000 0.0000 0.0000 Na
0.2389 0.5074 0.7680 Na
0.6174 0.2502 0.8806 Mg
0.4569 0.8756 0.3498 Nb
0.7770 0.6252 0.4123 Nb
0.0102 0.6628 0.1446 O
0.2233 0.8357 0.6167 O
0.4274 0.4651 0.1144 O
0.5868 0.3982 0.6016 O
0.6432 0.0979 0.1562 O
0.8092 0.0373 0.6469 O
```


4.
Diffraction record for Li2U3P2O15. The powder diffraction line list is calculated, not measured: it uses a PBE-relaxed structure and Cu Kα.
Intensities are scaled so that the largest is 100.

Principal peaks in the range 10 to 90 degrees two-theta, most intense first:
2theta  I (rel.)
24.7  100
18.7  72
21.4  64
27.5  53
40.2  33
16.1  32
37.3  26
32.9  25
35.2  25
12.8  25

Cell and atoms:
```
Li2U3P2O15
1.0
-3.6072 3.6072 12.6905
3.6072 -3.6072 12.6905
3.6072 3.6072 -12.6905
Li U P O
4 6 4 30
direct
0.0591 0.3091 0.7500 Li
0.3091 0.0591 0.2500 Li
0.6909 0.9409 0.7500 Li
0.9409 0.6909 0.2500 Li
0.1250 0.8750 0.2500 U
0.2913 0.5413 0.7500 U
0.4587 0.7087 0.7500 U
0.5413 0.2913 0.2500 U
0.7087 0.4587 0.2500 U
0.8750 0.1250 0.7500 U
0.1633 0.4133 0.7500 P
0.4133 0.1633 0.2500 P
0.5867 0.8367 0.7500 P
0.8367 0.5867 0.2500 P
0.0339 0.4518 0.5821 O
0.0541 0.8041 0.2500 O
0.1265 0.2046 0.5782 O
0.1265 0.5483 0.9218 O
0.1959 0.9459 0.2500 O
0.2046 0.1265 0.0782 O
0.2097 0.7122 0.4974 O
0.2852 0.2878 0.9974 O
0.2878 0.2852 0.4974 O
0.2878 0.7903 0.0026 O
0.3697 0.4518 0.9179 O
0.3750 0.6250 0.7500 O
0.4518 0.0339 0.0821 O
0.4518 0.3697 0.4179 O
0.4517 0.8735 0.5782 O
0.5483 0.1265 0.4218 O
0.5482 0.6303 0.5821 O
0.5482 0.9661 0.9179 O
0.6250 0.3750 0.2500 O
0.6303 0.5482 0.0821 O
0.7122 0.2097 0.9974 O
0.7122 0.7148 0.5026 O
0.7148 0.7122 0.0026 O
0.7903 0.2878 0.5026 O
0.7954 0.8735 0.9218 O
0.8041 0.0541 0.7500 O
0.8735 0.4517 0.0782 O
0.8735 0.7954 0.4218 O
0.9459 0.1959 0.7500 O
0.9661 0.5482 0.4179 O
```